Diffraction record for Pm3Dy6Ho2Er. The X-ray diffraction stick pattern is calculated, not measured: it uses a DFT-relaxed cell (GGA-PBE, Alexandria) and copper Kα.

Atomic structure:
a b c (Å): 6.174 10.687 11.796
angles (deg): 90.00 100.00 90.00
Space group C2/m (No. 12)
Symmetry-distinct sites (fractional):
Pm 0.000 0.000 0.000 x2
Pm 0.000 0.333 0.000 x4
Dy 0.249 0.000 0.746 x4
Dy 0.249 0.333 0.746 x8
Ho 0.000 0.167 0.500 x4
Er 0.000 0.500 0.500 x2

The 8 most intense peaks (10° ≤ 2θ ≤ 90°), in order of falling intensity:
(1 3 1), d 2.908, 30.75 deg, rel. 100
(2 0 2), d 2.518, 35.65 deg, rel. 51
(0 6 0), d 1.781, 51.31 deg, rel. 36
(4 0 0), d 1.519, 61.01 deg, rel. 36
(4 6 0), d 1.156, 83.67 deg, rel. 12
(2 6 2), d 1.454, 64.02 deg, rel. 9
(5 3 1), d 1.127, 86.35 deg, rel. 8
(3 3 7), d 1.126, 86.46 deg, rel. 8

---

Diffraction record for BaTa2AgO7. The X-ray diffraction stick pattern is calculated, not measured: it uses a DFT-relaxed cell (GGA-PBE, Alexandria) and copper Kα.

Atomic structure:
a b c (Å): 4.022 4.022 19.809
angles (deg): 90.00 90.00 90.00
Space group I-4m2 (No. 119)
Symmetry-distinct sites (fractional):
Ba 0.000 0.000 0.000 x2
Ta 0.000 0.000 0.390 x4
Ag 0.000 0.500 0.250 x2
O 0.000 0.000 0.294 x4
O 0.000 0.000 0.500 x2
O 0.000 0.500 0.103 x4
O 0.000 0.500 0.599 x4

The 8 most intense peaks (10° ≤ 2θ ≤ 90°), in order of falling intensity:
(1 0 5), d 2.822, 31.70 deg, rel. 100
(1 0 3), d 3.435, 25.94 deg, rel. 97
(1 0 1), d 3.941, 22.56 deg, rel. 52
(2 0 0), d 2.011, 45.09 deg, rel. 50
(2 1 5), d 1.638, 56.17 deg, rel. 42
(1 1 2), d 2.733, 32.77 deg, rel. 38
(1 1 0), d 2.844, 31.46 deg, rel. 35
(1 1 10), d 1.625, 56.63 deg, rel. 27

---

Diffraction record for Dy2YErSc4. The X-ray diffraction stick pattern is calculated, not measured: it uses a DFT-relaxed cell (GGA-PBE, Alexandria) and copper Kα.

Atomic structure:
a b c (Å): 4.875 4.875 9.356
angles (deg): 90.00 90.00 90.00
Space group P4/mmm (No. 123)
Symmetry-distinct sites (fractional):
Dy 0.000 0.000 0.000 x1
Dy 0.500 0.500 0.500 x1
Y 0.000 0.000 0.500 x1
Er 0.500 0.500 0.000 x1
Sc 0.000 0.500 0.248 x4

The 8 most intense peaks (10° ≤ 2θ ≤ 90°), in order of falling intensity:
(1 1 2), d 2.775, 32.26 deg, rel. 100
(2 0 0), d 2.437, 36.88 deg, rel. 35
(3 1 2), d 1.464, 63.55 deg, rel. 27
(0 0 2), d 4.678, 18.97 deg, rel. 24
(1 1 0), d 3.447, 25.85 deg, rel. 24
(2 0 4), d 1.688, 54.36 deg, rel. 22
(0 0 4), d 2.339, 38.49 deg, rel. 15
(2 0 2), d 2.162, 41.79 deg, rel. 14

---

Diffraction record for Dy3Pa. The X-ray diffraction stick pattern is calculated, not measured: it uses a DFT-relaxed cell (GGA-PBE, Alexandria) and copper Kα.

Atomic structure:
a b c (Å): 3.442 11.358 6.045
angles (deg): 90.00 90.00 90.00
Space group Imm2 (No. 44)
Symmetry-distinct sites (fractional):
Dy 0.000 0.000 0.000 x2
Dy 0.000 0.244 0.338 x4
Pa 0.000 0.500 0.995 x2

The 8 most intense peaks (10° ≤ 2θ ≤ 90°), in order of falling intensity:
(1 2 1), d 2.647, 33.87 deg, rel. 100
(0 2 2), d 2.668, 33.59 deg, rel. 47
(0 4 0), d 2.839, 31.51 deg, rel. 39
(1 4 3), d 1.483, 62.64 deg, rel. 22
(1 6 1), d 1.600, 57.63 deg, rel. 22
(1 0 1), d 2.991, 29.87 deg, rel. 21
(1 0 3), d 1.739, 52.63 deg, rel. 19
(1 4 1), d 2.059, 43.97 deg, rel. 15

---

Diffraction record for SrSc2H. The X-ray diffraction stick pattern is calculated, not measured: it uses a DFT-relaxed cell (GGA-PBE, Alexandria) and copper Kα.

Atomic structure:
a b c (Å): 9.372 9.372 9.372
angles (deg): 90.00 90.00 90.00
Space group Fd-3m (No. 227, origin choice 2)
Symmetry-distinct sites (fractional):
Sr 0.125 0.125 0.125 x8
Sc 0.000 0.000 0.500 x16
H 0.125 0.125 0.625 x8

The 8 most intense peaks (10° ≤ 2θ ≤ 90°), in order of falling intensity:
(3 1 1), d 2.826, 31.66 deg, rel. 100
(2 2 0), d 3.314, 26.91 deg, rel. 55
(5 1 1), d 1.804, 50.61 deg, rel. 34
(4 4 0), d 1.657, 55.46 deg, rel. 27
(4 2 2), d 1.913, 47.53 deg, rel. 22
(2 2 2), d 2.705, 33.11 deg, rel. 21
(7 3 1), d 1.220, 78.37 deg, rel. 20
(5 3 3), d 1.429, 65.29 deg, rel. 11

---

Diffraction record for Li2Sb. The X-ray diffraction stick pattern is calculated, not measured: it uses a DFT-relaxed cell (GGA-PBE, Alexandria) and copper Kα.

Atomic structure:
a b c (Å): 7.9352 7.9352 6.6017
angles (deg): 90.00 90.00 120.00
Space group P-62c (No. 190)
Symmetry-distinct sites (fractional):
Li 0.0000 0.2886 0.0000 x6
Li 0.0102 0.6382 0.2500 x6
Sb 0.0000 0.0000 0.2500 x2
Sb 0.3333 0.6667 0.5247 x4

The 8 most intense peaks (10° ≤ 2θ ≤ 90°), in order of falling intensity:
(1 1 0), d 3.968, 22.41 deg, rel. 100
(1 0 2), d 2.975, 30.03 deg, rel. 42
(2 1 2), d 2.041, 44.38 deg, rel. 30
(3 0 0), d 2.291, 39.33 deg, rel. 29
(2 0 2), d 2.380, 37.79 deg, rel. 25
(0 0 4), d 1.651, 55.69 deg, rel. 17
(2 2 0), d 1.984, 45.74 deg, rel. 15
(1 1 4), d 1.524, 60.78 deg, rel. 14

---

Diffraction record for Th3Si2Pt2Rh5. The X-ray diffraction stick pattern is calculated, not measured: it uses a DFT-relaxed cell (GGA-PBE, Alexandria) and copper Kα.

Atomic structure:
a b c (Å): 4.109 4.109 26.840
angles (deg): 90.00 90.00 90.00
Space group I4/mmm (No. 139)
Symmetry-distinct sites (fractional):
Th 0.000 0.000 0.000 x2
Th 0.000 0.000 0.170 x4
Si 0.000 0.000 0.376 x4
Pt 0.000 0.000 0.285 x4
Rh 0.000 0.000 0.500 x2
Rh 0.000 0.500 0.081 x8

The 8 most intense peaks (10° ≤ 2θ ≤ 90°), in order of falling intensity:
(1 1 6), d 2.437, 36.89 deg, rel. 100
(2 0 0), d 2.055, 44.07 deg, rel. 67
(1 0 7), d 2.803, 31.92 deg, rel. 47
(1 1 0), d 2.906, 30.77 deg, rel. 41
(1 0 9), d 2.414, 37.25 deg, rel. 41
(1 1 2), d 2.840, 31.50 deg, rel. 28
(1 1 4), d 2.666, 33.61 deg, rel. 28
(1 0 11), d 2.098, 43.12 deg, rel. 27

---

Diffraction record for Na2ZnSb. The X-ray diffraction stick pattern is calculated, not measured: it uses a DFT-relaxed cell (GGA-PBE, Alexandria) and copper Kα.

Atomic structure:
a b c (Å): 10.396 5.577 10.112
angles (deg): 90.00 117.21 90.00
Space group C2/c (No. 15)
Symmetry-distinct sites (fractional):
Na 0.183 0.065 0.097 x8
Zn 0.000 0.321 0.250 x4
Sb 0.000 0.179 0.750 x4

The 8 most intense peaks (10° ≤ 2θ ≤ 90°), in order of falling intensity:
(0 0 2), d 4.496, 19.74 deg, rel. 100
(2 0 0), d 4.623, 19.20 deg, rel. 88
(2 0 -2), d 4.374, 20.30 deg, rel. 87
(2 0 2), d 2.668, 33.59 deg, rel. 77
(2 2 -1), d 2.456, 36.59 deg, rel. 47
(4 0 -2), d 2.594, 34.58 deg, rel. 45
(2 0 -4), d 2.527, 35.53 deg, rel. 43
(4 0 -4), d 2.185, 41.32 deg, rel. 32

---

Diffraction record for Ba3NaNb2O8. The X-ray diffraction stick pattern is calculated, not measured: it uses a DFT-relaxed cell (GGA-PBE, Alexandria) and copper Kα.

Atomic structure:
a b c (Å): 6.1076 6.1076 7.8458
angles (deg): 90.00 90.00 120.00
Space group P-3m1 (No. 164)
Symmetry-distinct sites (fractional):
Ba 0.0000 0.0000 0.0000 x1
Ba 0.3333 0.6667 0.6404 x2
Na 0.0000 0.0000 0.5000 x1
Nb 0.3333 0.6667 0.1948 x2
O 0.1714 0.3428 0.3002 x6
O 0.3333 0.6667 0.9546 x2

The 8 most intense peaks (10° ≤ 2θ ≤ 90°), in order of falling intensity:
(1 1 0), d 3.054, 29.24 deg, rel. 100
(0 1 2), d 3.151, 28.32 deg, rel. 81
(2 0 2), d 2.193, 41.16 deg, rel. 44
(1 2 2), d 1.781, 51.29 deg, rel. 31
(0 1 1), d 4.386, 20.25 deg, rel. 24
(3 0 0), d 1.763, 51.86 deg, rel. 20
(2 2 0), d 1.527, 60.65 deg, rel. 17
(1 0 4), d 1.839, 49.57 deg, rel. 15

---

Diffraction record for La4DyHo3. The X-ray diffraction stick pattern is calculated, not measured: it uses a DFT-relaxed cell (GGA-PBE, Alexandria) and copper Kα.

Atomic structure:
a b c (Å): 24.332 3.666 6.287
angles (deg): 90.00 104.84 90.00
Space group C2/m (No. 12)
Symmetry-distinct sites (fractional):
La 0.123 0.000 0.457 x4
La 0.248 0.000 0.244 x4
Dy 0.000 0.000 0.000 x2
Ho 0.000 0.500 0.500 x2
Ho 0.122 0.500 0.954 x4

The 8 most intense peaks (10° ≤ 2θ ≤ 90°), in order of falling intensity:
(5 1 -1), d 2.788, 32.10 deg, rel. 100
(8 0 0), d 2.940, 30.40 deg, rel. 51
(2 0 2), d 2.772, 32.29 deg, rel. 50
(3 1 -1), d 3.058, 29.21 deg, rel. 43
(10 0 2), d 1.666, 55.12 deg, rel. 28
(3 1 -3), d 1.819, 50.14 deg, rel. 26
(5 1 1), d 2.464, 36.47 deg, rel. 24
(0 0 2), d 3.037, 29.41 deg, rel. 21

---

Diffraction record for NaTmSeS. The X-ray diffraction stick pattern is calculated, not measured: it uses a DFT-relaxed cell (GGA-PBE, Alexandria) and copper Kα.

Atomic structure:
a b c (Å): 4.0108 4.0108 20.5168
angles (deg): 90.00 90.00 120.00
Space group R3m (No. 160, hexagonal axes)
Symmetry-distinct sites (fractional):
Na 0.0000 0.0000 0.0000 x3
Tm 0.0000 0.0000 0.5062 x3
Se 0.0000 0.0000 0.7600 x3
S 0.0000 0.0000 0.2434 x3

The 8 most intense peaks (10° ≤ 2θ ≤ 90°), in order of falling intensity:
(1 0 4), d 2.876, 31.10 deg, rel. 100
(0 0 3), d 6.839, 12.94 deg, rel. 75
(1 0 1), d 3.424, 26.02 deg, rel. 40
(0 1 8), d 2.063, 43.88 deg, rel. 36
(1 1 0), d 2.005, 45.22 deg, rel. 35
(0 2 4), d 1.644, 55.91 deg, rel. 26
(2 1 4), d 1.272, 74.63 deg, rel. 19
(1 1 3), d 1.924, 47.23 deg, rel. 18

---

Diffraction record for Pu3ThS4. The X-ray diffraction stick pattern is calculated, not measured: it uses a DFT-relaxed cell (GGA-PBE, Alexandria) and copper Kα.

Atomic structure:
a b c (Å): 5.648 5.648 5.648
angles (deg): 90.00 90.00 90.00
Space group Pm-3m (No. 221)
Symmetry-distinct sites (fractional):
Pu 0.000 0.000 0.500 x3
Th 0.500 0.500 0.500 x1
S 0.000 0.000 0.000 x1
S 0.000 0.500 0.500 x3

The 8 most intense peaks (10° ≤ 2θ ≤ 90°), in order of falling intensity:
(1 1 1), d 3.261, 27.35 deg, rel. 100
(2 0 0), d 2.824, 31.68 deg, rel. 94
(2 2 0), d 1.997, 45.42 deg, rel. 70
(3 1 1), d 1.703, 53.83 deg, rel. 51
(4 2 0), d 1.263, 75.24 deg, rel. 32
(4 2 2), d 1.153, 83.93 deg, rel. 25
(2 2 2), d 1.630, 56.44 deg, rel. 25
(3 3 1), d 1.296, 73.02 deg, rel. 21

---

Diffraction record for Tb9Pm4Nd11. The X-ray diffraction stick pattern is calculated, not measured: it uses a DFT-relaxed cell (GGA-PBE, Alexandria) and copper Kα.

Atomic structure:
a b c (Å): 17.088 25.789 3.722
angles (deg): 90.00 90.00 90.00
Space group Cmmm (No. 65)
Symmetry-distinct sites (fractional):
Tb 0.000 0.000 0.000 x2
Tb 0.101 0.235 0.000 x8
Tb 0.139 0.427 0.000 x8
Pm 0.156 0.101 0.000 x8
Nd 0.000 0.133 0.500 x4
Nd 0.000 0.340 0.500 x4
Nd 0.000 0.500 0.500 x2
Nd 0.210 0.000 0.500 x4
Nd 0.225 0.319 0.500 x8

The 8 most intense peaks (10° ≤ 2θ ≤ 90°), in order of falling intensity:
(4 0 1), d 2.810, 31.85 deg, rel. 100
(4 6 0), d 3.030, 29.48 deg, rel. 53
(2 4 1), d 3.016, 29.62 deg, rel. 25
(4 6 2), d 1.586, 58.17 deg, rel. 18
(3 3 1), d 2.929, 30.52 deg, rel. 17
(0 0 2), d 1.861, 48.95 deg, rel. 14
(1 9 0), d 2.826, 31.66 deg, rel. 13
(1 15 1), d 1.554, 59.48 deg, rel. 11

---

Diffraction record for TaSeO2. The X-ray diffraction stick pattern is calculated, not measured: it uses a DFT-relaxed cell (GGA-PBE, Alexandria) and copper Kα.

Atomic structure:
a b c (Å): 8.647 8.647 8.647
angles (deg): 90.00 90.00 90.00
Space group Fd-3m (No. 227, origin choice 2)
Symmetry-distinct sites (fractional):
Ta 0.125 0.125 0.125 x8
Se 0.125 0.125 0.625 x8
O 0.000 0.000 0.000 x16

The 8 most intense peaks (10° ≤ 2θ ≤ 90°), in order of falling intensity:
(2 2 0), d 3.057, 29.21 deg, rel. 100
(4 2 2), d 1.765, 51.79 deg, rel. 41
(1 1 1), d 4.993, 17.77 deg, rel. 25
(6 4 2), d 1.156, 83.69 deg, rel. 21
(6 2 0), d 1.367, 68.64 deg, rel. 18
(4 4 0), d 1.529, 60.57 deg, rel. 15
(4 0 0), d 2.162, 41.78 deg, rel. 15
(3 3 1), d 1.984, 45.73 deg, rel. 7